Entry 1:
Structure and simulated X-ray powder pattern of LaSmCo2O6 (DFT lattice parameters and positions (GGA+U); CuKα).
Peak positions follow from Bragg's law for the DFT cell and can differ from measured ones.

Structural model:
abc: 7.571 7.571 7.573
angles: 90.00 90.00 90.00
Fractional coordinates of all 40 atoms:
La (0.000, 0.000, 0.000)
La (0.000, 0.500, 0.000)
La (0.500, 0.000, 0.000)
La (0.500, 0.500, 0.500)
Sm (0.000, 0.000, 0.500)
Sm (0.000, 0.500, 0.500)
Sm (0.500, 0.000, 0.500)
Sm (0.500, 0.500, 0.000)
Co (0.250, 0.250, 0.250)
Co (0.250, 0.250, 0.750)
Co (0.250, 0.750, 0.250)
Co (0.250, 0.750, 0.750)
Co (0.750, 0.250, 0.250)
Co (0.750, 0.250, 0.750)
Co (0.750, 0.750, 0.250)
Co (0.750, 0.750, 0.750)
O (0.000, 0.250, 0.254)
O (0.000, 0.250, 0.746)
O (0.000, 0.750, 0.254)
O (0.000, 0.750, 0.746)
O (0.248, 0.248, 0.500)
O (0.248, 0.752, 0.500)
O (0.250, 0.000, 0.254)
O (0.250, 0.000, 0.746)
O (0.250, 0.500, 0.250)
O (0.250, 0.500, 0.750)
O (0.252, 0.252, 0.000)
O (0.252, 0.748, 0.000)
O (0.500, 0.250, 0.250)
O (0.500, 0.250, 0.750)
O (0.500, 0.750, 0.250)
O (0.500, 0.750, 0.750)
O (0.748, 0.252, 0.000)
O (0.748, 0.748, 0.000)
O (0.750, 0.000, 0.254)
O (0.750, 0.000, 0.746)
O (0.750, 0.500, 0.250)
O (0.750, 0.500, 0.750)
O (0.752, 0.248, 0.500)
O (0.752, 0.752, 0.500)

Peak list (10 most intense, 10 to 90 degrees two-theta, sorted by position)
2θ = 23.50°, intensity 13; 2θ = 33.47°, intensity 100; 2θ = 41.30°, intensity 17; 2θ = 48.06°, intensity 31; 2θ = 54.17°, intensity 7; 2θ = 59.84°, intensity 38; 2θ = 70.33°, intensity 18; 2θ = 80.17°, intensity 16; 2θ = 84.96°, intensity 6; 2θ = 89.72°, intensity 6

Entry 2:
Structure and simulated X-ray powder pattern of SrLaCoO4 (DFT lattice parameters and positions (GGA+U); CuKα).
Peak positions follow from Bragg's law for the DFT cell and can differ from measured ones.

Structural model:
abc: 5.436 6.962 10.372
angles: 105.17 90.33 90.18
Fractional coordinates of all 28 atoms:
Sr (0.000, 0.000, 0.000)
Sr (0.001, 0.499, 0.500)
Sr (0.499, 0.249, 0.249)
Sr (0.501, 0.751, 0.752)
La (0.000, 0.429, 0.860)
La (0.000, 0.927, 0.357)
La (0.499, 0.678, 0.107)
La (0.502, 0.180, 0.609)
Co (0.002, 0.958, 0.682)
Co (0.500, 0.210, 0.930)
Co (0.501, 0.709, 0.433)
Co (0.999, 0.455, 0.180)
O (0.000, 0.201, 0.265)
O (0.000, 0.211, 0.595)
O (0.002, 0.705, 0.766)
O (0.239, 0.592, 0.298)
O (0.248, 0.094, 0.799)
O (0.258, 0.841, 0.549)
O (0.259, 0.344, 0.046)
O (0.499, 0.967, 0.349)
O (0.500, 0.950, 0.019)
O (0.501, 0.455, 0.518)
O (0.504, 0.467, 0.846)
O (0.741, 0.601, 0.306)
O (0.742, 0.101, 0.806)
O (0.752, 0.346, 0.055)
O (0.760, 0.850, 0.557)
O (0.998, 0.711, 0.093)

Peak list (10 most intense, 10 to 90 degrees two-theta, sorted by position)
2θ = 31.24°, intensity 75; 2θ = 31.37°, intensity 74; 2θ = 32.95°, intensity 100; 2θ = 42.32°, intensity 33; 2θ = 43.67°, intensity 39; 2θ = 47.10°, intensity 26; 2θ = 47.48°, intensity 26; 2θ = 54.64°, intensity 24; 2θ = 57.69°, intensity 27; 2θ = 57.93°, intensity 26

Entry 3:
Structure and simulated X-ray powder pattern of SrLaCoO4 (DFT lattice parameters and positions (GGA+U); CuKα).
Peak positions follow from Bragg's law for the DFT cell and can differ from measured ones.

Structural model:
abc: 6.863 6.863 5.450
angles: 90.00 90.00 133.36
Fractional coordinates of all 14 atoms:
Sr (0.106, 0.894, 0.750)
Sr (0.894, 0.106, 0.250)
La (0.388, 0.612, 0.750)
La (0.612, 0.388, 0.250)
Co (0.249, 0.751, 0.250)
Co (0.751, 0.249, 0.750)
O (0.000, 0.500, 0.000)
O (0.000, 0.500, 0.500)
O (0.088, 0.912, 0.250)
O (0.425, 0.575, 0.250)
O (0.500, 0.000, 0.000)
O (0.500, 0.000, 0.500)
O (0.575, 0.425, 0.750)
O (0.912, 0.088, 0.750)

Peak list (10 most intense, 10 to 90 degrees two-theta, sorted by position)
2θ = 24.18°, intensity 15; 2θ = 31.53°, intensity 100; 2θ = 32.87°, intensity 36; 2θ = 32.97°, intensity 36; 2θ = 42.89°, intensity 18; 2θ = 43.97°, intensity 28; 2θ = 47.24°, intensity 38; 2θ = 57.84°, intensity 18; 2θ = 57.98°, intensity 19; 2θ = 65.81°, intensity 17

Entry 4:
Structure and simulated X-ray powder pattern of SrLaCoO4 (DFT lattice parameters and positions (GGA+U); CuKα).
Peak positions follow from Bragg's law for the DFT cell and can differ from measured ones.

Structural model:
abc: 3.863 6.829 15.018
angles: 95.14 97.27 106.37
Fractional coordinates of all 28 atoms:
Sr (0.000, 0.000, 0.000)
Sr (0.248, 0.247, 0.250)
Sr (0.500, 0.501, 0.500)
Sr (0.749, 0.747, 0.750)
La (0.039, 0.756, 0.320)
La (0.289, 0.006, 0.569)
La (0.539, 0.257, 0.820)
La (0.789, 0.506, 0.069)
Co (0.020, 0.379, 0.659)
Co (0.273, 0.635, 0.909)
Co (0.520, 0.879, 0.159)
Co (0.773, 0.135, 0.409)
O (0.013, 0.865, 0.161)
O (0.134, 0.484, 0.783)
O (0.147, 0.673, 0.618)
O (0.148, 0.342, 0.954)
O (0.267, 0.120, 0.412)
O (0.393, 0.591, 0.198)
O (0.395, 0.750, 0.039)
O (0.399, 0.931, 0.866)
O (0.513, 0.365, 0.661)
O (0.634, 0.983, 0.283)
O (0.647, 0.173, 0.118)
O (0.648, 0.843, 0.454)
O (0.767, 0.620, 0.912)
O (0.893, 0.091, 0.698)
O (0.895, 0.250, 0.540)
O (0.899, 0.430, 0.366)

Peak list (10 most intense, 10 to 90 degrees two-theta, sorted by position)
2θ = 14.15°, intensity 13; 2θ = 24.10°, intensity 20; 2θ = 31.56°, intensity 100; 2θ = 32.77°, intensity 72; 2θ = 43.06°, intensity 18; 2θ = 43.39°, intensity 13; 2θ = 43.98°, intensity 21; 2θ = 47.03°, intensity 38; 2θ = 57.69°, intensity 18; 2θ = 57.80°, intensity 18

Entry 5:
Structure and simulated X-ray powder pattern of Sr2LaCoO6 (DFT lattice parameters and positions (GGA+U); CuKα).
Peak positions follow from Bragg's law for the DFT cell and can differ from measured ones.

Structural model:
abc: 5.895 5.895 5.895
angles: 60.00 60.00 60.00
Fractional coordinates of all 10 atoms:
Sr (0.250, 0.250, 0.250)
Sr (0.750, 0.750, 0.750)
La (0.000, 0.000, 0.000)
Co (0.500, 0.500, 0.500)
O (0.273, 0.273, 0.727)
O (0.273, 0.727, 0.273)
O (0.273, 0.727, 0.727)
O (0.727, 0.273, 0.273)
O (0.727, 0.273, 0.727)
O (0.727, 0.727, 0.273)

Peak list (10 most intense, 10 to 90 degrees two-theta, sorted by position)
2θ = 18.43°, intensity 6; 2θ = 30.32°, intensity 100; 2θ = 35.72°, intensity 7; 2θ = 43.42°, intensity 34; 2θ = 47.54°, intensity 4; 2θ = 53.87°, intensity 39; 2θ = 63.08°, intensity 20; 2θ = 71.58°, intensity 18; 2θ = 79.68°, intensity 6; 2θ = 87.57°, intensity 21

Entry 6:
Structure and simulated X-ray powder pattern of SrLaCoO4 (DFT lattice parameters and positions (GGA+U); CuKα).
Peak positions follow from Bragg's law for the DFT cell and can differ from measured ones.

Structural model:
abc: 6.948 6.948 5.453
angles: 90.05 90.05 133.79
Fractional coordinates of all 14 atoms:
Sr (0.000, 0.000, 0.000)
Sr (0.500, 0.500, 0.500)
La (0.285, 0.715, 0.000)
La (0.785, 0.215, 0.500)
Co (0.139, 0.861, 0.500)
Co (0.639, 0.361, 0.000)
O (0.309, 0.691, 0.500)
O (0.389, 0.094, 0.258)
O (0.405, 0.110, 0.758)
O (0.468, 0.532, 0.000)
O (0.809, 0.191, 0.000)
O (0.890, 0.595, 0.242)
O (0.906, 0.611, 0.742)
O (0.969, 0.031, 0.500)

Peak list (10 most intense, 10 to 90 degrees two-theta, sorted by position)
2θ = 24.11°, intensity 19; 2θ = 31.29°, intensity 100; 2θ = 32.85°, intensity 68; 2θ = 42.43°, intensity 29; 2θ = 43.64°, intensity 26; 2θ = 47.09°, intensity 18; 2θ = 47.19°, intensity 18; 2θ = 54.68°, intensity 16; 2θ = 57.67°, intensity 40; 2θ = 65.27°, intensity 21